AlNi2IO6: simulated X-ray diffraction stick pattern (a wavelength of 1.5418 Å), based on a structure optimized by DFT (GGA+U).

Structure:
abc: 5.4128 5.4128 4.5706
angles: 90.00 90.00 90.00
Space group P4mm (No. 99)
Asymmetric unit:
Al: 0.0000 0.0000 0.0000 (multiplicity 1)
Ni: 0.0000 0.5000 0.3279 (multiplicity 2)
I: 0.5000 0.5000 0.0257 (multiplicity 1)
O: 0.0000 0.0000 0.6218 (multiplicity 1)
O: 0.2353 0.2353 0.1462 (multiplicity 4)
O: 0.5000 0.5000 0.6268 (multiplicity 1)

Peak list (8 most intense, 10 to 80 degrees two-theta, by angle)
h k l  2θ/deg  I (rel.)
1 0 0  16.38  37
0 0 1  19.42  62
1 1 1  30.46  100
2 0 0  33.10  51
1 1 2  46.27  49
2 2 0  47.51  39
3 1 1  57.49  31
3 1 2  68.49  28